Diffraction record for Li2VSiO4. The X-ray diffraction stick pattern is calculated, not measured: it uses the PBE+U geometry in Alexandria and a wavelength of 1.5418 Å.
Peak positions follow from Bragg's law for the DFT cell and can differ from measured ones.

Main lines, in order of rising 2θ (2θ from 15° to 90°):
| hkl | d (Å) | intensity |
| --- | --- | --- |
| 0 1 1 | 4.279 | 97 |
| 1 0 0 | 3.840 | 45 |
| 1 0 -2 | 3.820 | 76 |
| 1 1 0 | 3.203 | 23 |
| 0 2 0 | 2.905 | 34 |
| 0 1 2 | 2.777 | 100 |
| 0 2 1 | 2.640 | 34 |
| 1 2 -1 | 2.487 | 22 |
| 2 0 -2 | 2.407 | 98 |
| 0 3 2 | 1.652 | 46 |

a b c (Å): 4.812 5.811 7.926
angles (deg): 90.00 127.08 90.00
Space group Pc (No. 7)
One atom of each set of equivalent atoms:
1 Li 0.000 0.145 0.000 (multiplicity 2)
2 Li 0.257 0.303 0.759 (multiplicity 2)
3 V 0.764 0.349 0.241 (multiplicity 2)
4 Si 0.486 0.167 0.504 (multiplicity 2)
5 O 0.146 0.163 0.506 (multiplicity 2)
6 O 0.358 0.322 0.289 (multiplicity 2)
7 O 0.595 0.101 0.001 (multiplicity 2)
8 O 0.808 0.300 0.721 (multiplicity 2)



Diffraction record for LiVSiO5. The X-ray diffraction stick pattern is calculated, not measured: it uses the PBE+U geometry in Alexandria and a wavelength of 1.5418 Å.
Peak positions follow from Bragg's law for the DFT cell and can differ from measured ones.

Main lines, in order of rising 2θ (2θ from 15° to 90°):
| hkl | d (Å) | intensity |
| --- | --- | --- |
| 0 0 2 | 4.688 | 35 |
| 0 1 0 | 4.529 | 30 |
| 1 0 2 | 4.156 | 99 |
| 1 1 0 | 4.044 | 73 |
| 1 1 1 | 3.713 | 21 |
| 2 0 2 | 3.242 | 51 |
| 2 1 0 | 3.188 | 21 |
| 2 1 2 | 2.636 | 100 |
| 3 1 3 | 1.951 | 24 |
| 4 0 4 | 1.621 | 24 |

a b c (Å): 8.976 4.529 9.376
angles (deg): 90.00 90.00 90.00
Space group Pmc2_1 (No. 26)
One atom of each set of equivalent atoms:
1 Li 0.000 0.031 0.000 (multiplicity 2)
2 Li 0.500 0.353 0.220 (multiplicity 2)
3 V 0.000 0.423 0.729 (multiplicity 2)
4 V 0.500 0.058 0.937 (multiplicity 2)
5 Si 0.251 0.479 0.480 (multiplicity 4)
6 O 0.000 0.218 0.215 (multiplicity 2)
7 O 0.141 0.335 0.872 (multiplicity 4)
8 O 0.143 0.300 0.592 (multiplicity 4)
9 O 0.355 0.232 0.400 (multiplicity 4)
10 O 0.360 0.271 0.054 (multiplicity 4)
11 O 0.500 0.228 0.783 (multiplicity 2)



Diffraction record for LiVSi2O6. The X-ray diffraction stick pattern is calculated, not measured: it uses the PBE+U geometry in Alexandria and a wavelength of 1.5418 Å.
Peak positions follow from Bragg's law for the DFT cell and can differ from measured ones.

Main lines, in order of rising 2θ (2θ from 15° to 90°):
| hkl | d (Å) | intensity |
| --- | --- | --- |
| 0 1 1 | 4.496 | 27 |
| 0 2 0 | 4.384 | 37 |
| 2 1 -1 | 3.568 | 38 |
| 1 2 1 | 3.020 | 100 |
| 3 1 0 | 2.887 | 68 |
| 2 0 -2 | 2.528 | 36 |
| 3 2 -1 | 2.441 | 24 |
| 1 2 -3 | 1.657 | 39 |
| 4 3 1 | 1.621 | 20 |
| 6 3 -1 | 1.379 | 23 |

a b c (Å): 9.406 8.768 5.370
angles (deg): 90.00 102.81 90.00
Space group P2_1/c (No. 14)
One atom of each set of equivalent atoms:
1 Li 0.247 0.008 0.012 (multiplicity 4)
2 V 0.250 0.653 0.015 (multiplicity 4)
3 Si 0.049 0.162 0.266 (multiplicity 4)
4 Si 0.452 0.161 0.711 (multiplicity 4)
5 O 0.108 0.232 0.022 (multiplicity 4)
6 O 0.120 0.506 0.803 (multiplicity 4)
7 O 0.131 0.667 0.302 (multiplicity 4)
8 O 0.368 0.665 0.723 (multiplicity 4)
9 O 0.374 0.502 0.232 (multiplicity 4)
10 O 0.397 0.227 0.417 (multiplicity 4)



Which formula does entry 2 have? LiVSiO5



Number 1 is which compound? Li2VSiO4



Number 3 is which compound? LiVSi2O6